Structure and theoretical PXRD pattern of Y6PtI10 (a crystal structure in Alexandria, relaxed with GGA-PBE; a wavelength of 1.5418 Å).
No peak broadening, texture or thermal motion is included.

Atomic structure:
```
data_Y6PtI10
_chemical_formula_sum 'Y6 Pt1 I10'
_cell_length_a 7.7443
_cell_length_b 9.7296
_cell_length_c 9.7687
_cell_angle_alpha 106.89
_cell_angle_beta 96.68
_cell_angle_gamma 104.30
_symmetry_space_group_name_H-M 'P -1'
_symmetry_Int_Tables_number 2
loop_
_symmetry_equiv_pos_as_xyz
'x,y,z'
'-x,-y,-z'
loop_
_atom_site_label
_atom_site_fract_x
_atom_site_fract_y
_atom_site_fract_z
Y1 0.0334 0.2133 0.4140
Y2 0.1169 0.5422 0.2577
Y3 0.3475 0.6241 0.6654
Pt1 0.0000 0.5000 0.5000
I1 0.0867 0.8738 0.3202
I2 0.2280 0.2444 0.1544
I3 0.2558 0.5863 0.9620
I4 0.3471 0.9500 0.7726
I5 0.4548 0.3153 0.5929
```

The 10 most intense peaks (2θ from 5° to 70°), sorted by position:
- 9.66 deg, I = 20, hkl 0 0 1
- 9.95 deg, I = 19, hkl 0 1 0
- 24.66 deg, I = 49, hkl -2 1 1
- 27.94 deg, I = 50, hkl 2 0 1
- 28.95 deg, I = 100, hkl 1 -3 0
- 40.52 deg, I = 34, hkl 1 3 1
- 40.82 deg, I = 34, hkl 1 -1 4
- 41.23 deg, I = 18, hkl -2 2 3
- 41.57 deg, I = 18, hkl 0 4 -3
- 50.56 deg, I = 26, hkl 0 2 4



Structure and theoretical PXRD pattern of Pu2I5 (a crystal structure in Alexandria, relaxed with GGA-PBE; a wavelength of 1.5418 Å).
No peak broadening, texture or thermal motion is included.

Atomic structure:
```
data_Pu2I5
_chemical_formula_sum 'Pu8 I20'
_cell_length_a 17.5144
_cell_length_b 7.4094
_cell_length_c 8.2406
_cell_angle_alpha 90.00
_cell_angle_beta 97.14
_cell_angle_gamma 90.00
_symmetry_space_group_name_H-M 'C 1 2/c 1'
_symmetry_Int_Tables_number 15
loop_
_symmetry_equiv_pos_as_xyz
'x,y,z'
'-x,-y,-z'
'-x,y,-z+1/2'
'x,-y,z+1/2'
'x+1/2,y+1/2,z'
'-x+1/2,-y+1/2,-z'
'-x+1/2,y+1/2,-z+1/2'
'x+1/2,-y+1/2,z+1/2'
loop_
_atom_site_label
_atom_site_fract_x
_atom_site_fract_y
_atom_site_fract_z
Pu1 0.1135 0.2220 0.0868
I1 0.0000 0.0695 0.7500
I2 0.0885 0.3875 0.4285
I3 0.2174 0.0853 0.8172
```

The 10 most intense peaks (2θ from 5° to 70°), sorted by position:
- 17.34 deg, I = 100, hkl 1 1 1
- 27.85 deg, I = 41, hkl 2 2 -1
- 28.36 deg, I = 33, hkl 5 1 0
- 28.87 deg, I = 35, hkl 2 2 1
- 31.60 deg, I = 60, hkl 5 1 1
- 31.74 deg, I = 48, hkl 4 2 0
- 34.85 deg, I = 58, hkl 1 1 -3
- 35.69 deg, I = 38, hkl 6 0 -2
- 38.58 deg, I = 32, hkl 1 3 1
- 40.70 deg, I = 36, hkl 3 3 -1



Structure and theoretical PXRD pattern of Rb2Pu3I10 (a crystal structure in Alexandria, relaxed with GGA-PBE; a wavelength of 1.5418 Å).
No peak broadening, texture or thermal motion is included.

Atomic structure:
```
data_Rb2Pu3I10
_chemical_formula_sum 'Rb8 Pu12 I40'
_cell_length_a 28.9247
_cell_length_b 8.9944
_cell_length_c 12.0460
_cell_angle_alpha 90.00
_cell_angle_beta 110.70
_cell_angle_gamma 90.00
_symmetry_space_group_name_H-M 'C 1 2/m 1'
_symmetry_Int_Tables_number 12
loop_
_symmetry_equiv_pos_as_xyz
'x,y,z'
'-x,-y,-z'
'-x,y,-z'
'x,-y,z'
'x+1/2,y+1/2,z'
'-x+1/2,-y+1/2,-z'
'-x+1/2,y+1/2,-z'
'x+1/2,-y+1/2,z'
loop_
_atom_site_label
_atom_site_fract_x
_atom_site_fract_y
_atom_site_fract_z
Rb1 0.1305 0.0000 0.2002
Rb2 0.2410 0.0000 0.8698
Pu1 0.0000 0.2434 0.5000
Pu2 0.0764 0.5000 0.9761
Pu3 0.1800 0.5000 0.5315
I1 0.0000 0.2615 0.0000
I2 0.0116 0.0000 0.6907
I3 0.0129 0.5000 0.6914
I4 0.1140 0.2366 0.5541
I5 0.1312 0.5000 0.2509
I6 0.1454 0.2502 0.9604
I7 0.2389 0.5000 0.7961
I8 0.2500 0.2500 0.5000
```

The 10 most intense peaks (2θ from 5° to 70°), sorted by position:
- 10.36 deg, I = 45, hkl 1 1 0
- 15.73 deg, I = 65, hkl 0 0 2
- 18.39 deg, I = 46, hkl 6 0 -1
- 25.34 deg, I = 55, hkl 0 2 2
- 26.78 deg, I = 45, hkl 2 0 3
- 27.13 deg, I = 100, hkl 6 2 -1
- 32.44 deg, I = 43, hkl 8 2 -2
- 35.95 deg, I = 31, hkl 4 2 -4
- 40.10 deg, I = 40, hkl 0 4 0
- 40.91 deg, I = 69, hkl 8 2 2



Structure and theoretical PXRD pattern of RbPuTl2I6 (a crystal structure in Alexandria, relaxed with GGA-PBE; a wavelength of 1.5418 Å).
No peak broadening, texture or thermal motion is included.

Atomic structure:
```
data_RbPuTl2I6
_chemical_formula_sum 'Rb3 Pu3 Tl6 I18'
_cell_length_a 8.7053
_cell_length_b 8.7053
_cell_length_c 23.2612
_cell_angle_alpha 90.00
_cell_angle_beta 90.00
_cell_angle_gamma 120.00
_symmetry_space_group_name_H-M 'R 3'
_symmetry_Int_Tables_number 146
_symmetry_space_group_name_Hall 'R 3'
loop_
_atom_site_label
_atom_site_fract_x
_atom_site_fract_y
_atom_site_fract_z
Rb1 0.0000 0.0000 0.0000
Pu1 0.0000 0.0000 0.4882
Tl1 0.0000 0.0000 0.2930
Tl2 0.0000 0.0000 0.8064
I1 0.0138 0.7279 0.4034
I2 0.0237 0.3857 0.2295
```

The 10 most intense peaks (2θ from 5° to 70°), sorted by position:
- 12.34 deg, I = 27, hkl 1 0 1
- 14.00 deg, I = 40, hkl 0 1 2
- 19.28 deg, I = 36, hkl 1 0 4
- 23.44 deg, I = 82, hkl 2 -1 3
- 28.21 deg, I = 30, hkl 0 2 4
- 30.89 deg, I = 100, hkl 2 -1 6
- 35.07 deg, I = 32, hkl 3 -1 4
- 35.73 deg, I = 59, hkl 3 0 0
- 40.59 deg, I = 38, hkl 1 1 9
- 47.94 deg, I = 25, hkl 2 2 6



Structure and theoretical PXRD pattern of Pu4S6I (a crystal structure in Alexandria, relaxed with GGA-PBE; a wavelength of 1.5418 Å).
No peak broadening, texture or thermal motion is included.

Atomic structure:
```
data_Pu4S6I
_chemical_formula_sum 'Pu4 S6 I1'
_cell_length_a 8.4957
_cell_length_b 8.4957
_cell_length_c 3.9170
_cell_angle_alpha 90.00
_cell_angle_beta 90.00
_cell_angle_gamma 120.00
_symmetry_space_group_name_H-M 'P -6 m 2'
_symmetry_Int_Tables_number 187
_symmetry_space_group_name_Hall 'P -6 2'
loop_
_atom_site_label
_atom_site_fract_x
_atom_site_fract_y
_atom_site_fract_z
Pu1 0.0000 0.0000 0.0000
Pu2 0.0328 0.5164 0.5000
S1 0.2083 0.4167 0.0000
S2 0.2740 0.1370 0.5000
I1 0.6667 0.3333 0.0000
```

The 10 most intense peaks (2θ from 5° to 70°), sorted by position:
- 24.19 deg, I = 100, hkl 2 0 0
- 25.77 deg, I = 43, hkl 1 0 1
- 31.06 deg, I = 63, hkl 1 1 1
- 32.19 deg, I = 20, hkl 2 1 0
- 33.42 deg, I = 48, hkl 2 0 1
- 39.75 deg, I = 46, hkl 2 1 1
- 42.57 deg, I = 46, hkl 2 2 0
- 43.54 deg, I = 35, hkl 3 0 1
- 52.97 deg, I = 26, hkl 2 0 2
- 64.75 deg, I = 27, hkl 2 2 2



Structure and theoretical PXRD pattern of PuS6I2 (a crystal structure in Alexandria, relaxed with GGA-PBE; a wavelength of 1.5418 Å).
No peak broadening, texture or thermal motion is included.

Atomic structure:
```
data_PuS6I2
_chemical_formula_sum 'Pu1 S6 I2'
_cell_length_a 4.5425
_cell_length_b 8.6369
_cell_length_c 8.6828
_cell_angle_alpha 115.00
_cell_angle_beta 91.96
_cell_angle_gamma 91.78
_symmetry_space_group_name_H-M 'P -1'
_symmetry_Int_Tables_number 2
loop_
_symmetry_equiv_pos_as_xyz
'x,y,z'
'-x,-y,-z'
loop_
_atom_site_label
_atom_site_fract_x
_atom_site_fract_y
_atom_site_fract_z
Pu1 0.0000 0.0000 0.0000
S1 0.0736 0.7216 0.4953
S2 0.0748 0.4935 0.7197
S3 0.1471 0.3076 0.3077
I1 0.4993 0.1491 0.8538
```

The 10 most intense peaks (2θ from 5° to 70°), sorted by position:
- 11.29 deg, I = 100, hkl 0 0 1
- 12.12 deg, I = 40, hkl 0 1 -1
- 19.11 deg, I = 47, hkl 0 1 1
- 23.09 deg, I = 38, hkl 1 -1 1
- 28.09 deg, I = 29, hkl 1 1 -2
- 28.21 deg, I = 29, hkl 1 -2 1
- 28.97 deg, I = 30, hkl 1 2 -1
- 29.44 deg, I = 24, hkl 0 1 2
- 29.52 deg, I = 18, hkl 0 2 1
- 31.46 deg, I = 18, hkl 1 2 -2



Structure and theoretical PXRD pattern of Pu3SbI3 (a crystal structure in Alexandria, relaxed with GGA-PBE; a wavelength of 1.5418 Å).
No peak broadening, texture or thermal motion is included.

Atomic structure:
```
data_Pu3SbI3
_chemical_formula_sum 'Pu24 Sb8 I24'
_cell_length_a 12.6243
_cell_length_b 12.6243
_cell_length_c 12.6243
_cell_angle_alpha 90.00
_cell_angle_beta 90.00
_cell_angle_gamma 90.00
_symmetry_space_group_name_H-M 'I 41 3 2'
_symmetry_Int_Tables_number 214
_symmetry_space_group_name_Hall 'I 4bd 2c 3'
loop_
_atom_site_label
_atom_site_fract_x
_atom_site_fract_y
_atom_site_fract_z
Pu1 0.1198 0.3698 0.1250
Sb1 0.1250 0.1250 0.1250
I1 0.1204 0.1296 0.6250
```

The 10 most intense peaks (2θ from 5° to 70°), sorted by position:
- 9.91 deg, I = 22, hkl 1 1 0
- 17.21 deg, I = 8, hkl 2 1 1
- 26.42 deg, I = 13, hkl 3 2 1
- 28.28 deg, I = 100, hkl 4 0 0
- 33.29 deg, I = 6, hkl 3 3 2
- 36.28 deg, I = 6, hkl 5 1 0
- 40.42 deg, I = 77, hkl 4 4 0
- 50.06 deg, I = 27, hkl 4 4 4
- 58.49 deg, I = 13, hkl 8 0 0
- 66.21 deg, I = 35, hkl 8 4 0



Structure and theoretical PXRD pattern of PuSbI (a crystal structure in Alexandria, relaxed with GGA-PBE; a wavelength of 1.5418 Å).
No peak broadening, texture or thermal motion is included.

Atomic structure:
```
data_PuSbI
_chemical_formula_sum 'Pu2 Sb2 I2'
_cell_length_a 3.6526
_cell_length_b 3.6526
_cell_length_c 14.8834
_cell_angle_alpha 90.00
_cell_angle_beta 90.00
_cell_angle_gamma 90.00
_symmetry_space_group_name_H-M 'I 4 m m'
_symmetry_Int_Tables_number 107
_symmetry_space_group_name_Hall 'I 4 -2'
loop_
_atom_site_label
_atom_site_fract_x
_atom_site_fract_y
_atom_site_fract_z
Pu1 0.0000 0.0000 0.0000
Sb1 0.0000 0.0000 0.3630
I1 0.0000 0.0000 0.6329
```

The 10 most intense peaks (2θ from 5° to 70°), sorted by position:
- 11.89 deg, I = 46, hkl 0 0 2
- 30.39 deg, I = 100, hkl 1 0 3
- 34.73 deg, I = 42, hkl 1 1 0
- 36.84 deg, I = 13, hkl 1 1 2
- 39.04 deg, I = 32, hkl 1 0 5
- 49.94 deg, I = 15, hkl 2 0 0
- 51.05 deg, I = 13, hkl 1 1 6
- 59.59 deg, I = 30, hkl 2 1 3
- 61.42 deg, I = 14, hkl 1 1 8
- 65.14 deg, I = 15, hkl 2 1 5